# 1
This entry pairs a crystal structure of In2BiHW with its computed powder XRD pattern. Radiation: CuKα. Structure: a GGA-PBE-relaxed structure.
Lines closer than 0.1° are merged.

Most intense lines, 2θ = 15–90°, low angle first:
2theta	d_spacing	intensity
34.8	2.579	100.0
35.0	2.560	49.5
49.6	1.836	9.2
50.4	1.810	17.7
62.2	1.492	18.7
62.7	1.482	36.4
73.4	1.289	11.5
83.3	1.160	8.4
84.5	1.147	8.1
84.6	1.145	8.1

Crystal structure
```
In2BiHW
1.0
5.1208 0.0000 0.0000
0.0000 5.1208 0.0000
0.0000 0.0000 3.6729
In Bi H W
2 1 1 1
direct
0.0000 0.5000 0.0000
0.5000 0.0000 0.0000
0.0000 0.0000 0.5000
0.5000 0.5000 0.0000
0.5000 0.5000 0.5000
```

***

# 2
This entry pairs a crystal structure of Y4InBiH with its computed powder XRD pattern. Radiation: CuKα. Structure: a GGA-PBE-relaxed structure.
Lines closer than 0.1° are merged.

Most intense lines, 2θ = 15–90°, low angle first:
2theta	d_spacing	intensity
20.1	4.424	33.2
27.5	3.240	52.8
29.5	3.027	100.0
31.6	2.830	44.1
32.8	2.728	41.6
34.8	2.578	78.8
34.9	2.573	77.2
39.3	2.291	91.7
42.2	2.144	30.6
51.3	1.781	44.2

Crystal structure
```
Y4InBiH
1.0
3.2352 -8.4891 0.0000
3.2352 8.4891 0.0000
0.0000 0.0000 6.4894
Y In Bi H
8 2 2 2
direct
0.0000 0.5000 0.0000
0.0000 0.5000 0.5000
0.0699 0.9301 0.7500
0.4240 0.5760 0.7500
0.5000 0.0000 0.0000
0.5000 0.0000 0.5000
0.5760 0.4240 0.2500
0.9301 0.0699 0.2500
0.1145 0.8855 0.2500
0.8855 0.1145 0.7500
0.3894 0.6106 0.2500
0.6106 0.3894 0.7500
0.2891 0.7109 0.7500
0.7109 0.2891 0.2500
```

***

# 3
This entry pairs a crystal structure of BiH8Ir2Pd with its computed powder XRD pattern. Radiation: CuKα. Structure: a GGA-PBE-relaxed structure.
Lines closer than 0.1° are merged.

Most intense lines, 2θ = 15–90°, low angle first:
2theta	d_spacing	intensity
22.5	3.952	11.1
29.8	2.998	100.0
33.5	2.677	22.9
38.5	2.340	61.7
46.5	1.953	15.8
49.4	1.845	25.2
61.3	1.512	14.9
64.3	1.449	23.0
69.6	1.351	11.2
75.3	1.262	7.8

Crystal structure
```
BiH8Ir2Pd
1.0
2.3400 1.3510 5.9420
-2.3400 1.3510 5.9420
0.0000 -2.7020 5.9420
Bi H Ir Pd
1 8 2 1
direct
0.0000 0.0000 0.0000
0.1386 0.4192 0.7556
0.2444 0.8614 0.5808
0.3159 0.3159 0.3159
0.4192 0.7556 0.1386
0.5808 0.2444 0.8614
0.6841 0.6841 0.6841
0.7556 0.1386 0.4192
0.8614 0.5808 0.2444
0.2265 0.2265 0.2265
0.7735 0.7735 0.7735
0.5000 0.5000 0.5000
```

***

# 4
This entry pairs a crystal structure of K10Bi2H3 with its computed powder XRD pattern. Radiation: CuKα. Structure: a GGA-PBE-relaxed structure.
Lines closer than 0.1° are merged.

Most intense lines, 2θ = 15–90°, low angle first:
2theta	d_spacing	intensity
15.9	5.588	53.0
16.5	5.388	21.4
19.7	4.505	56.5
27.1	3.293	90.0
27.7	3.224	100.0
30.9	2.893	68.1
33.0	2.717	24.7
33.3	2.694	23.2
45.0	2.013	22.1
46.0	1.972	29.6

Crystal structure
```
K10Bi2H3
1.0
12.4822 -4.0243 0.0000
12.4822 4.0243 0.0000
-4.1814 0.0000 10.7751
K Bi H
20 4 6
direct
0.0000 0.5000 0.5000
0.0275 0.0275 0.7026
0.0836 0.5938 0.0098
0.1406 0.1406 0.2408
0.1546 0.6215 0.4837
0.2327 0.2327 0.7613
0.2497 0.7503 0.0000
0.3785 0.8454 0.5163
0.4062 0.9164 0.9902
0.4719 0.4719 0.3044
0.5000 0.0000 0.5000
0.5281 0.5281 0.6956
0.5938 0.0836 0.0098
0.6215 0.1546 0.4837
0.7503 0.2497 0.0000
0.7673 0.7673 0.2387
0.8454 0.3785 0.5163
0.8594 0.8594 0.7592
0.9164 0.4062 0.9902
0.9725 0.9725 0.2974
0.2895 0.2895 0.2177
0.3871 0.3871 0.7630
0.6129 0.6129 0.2370
0.7105 0.7105 0.7823
0.0751 0.0751 0.9777
0.1760 0.1760 0.5028
0.2566 0.7434 0.5000
0.7434 0.2566 0.5000
0.8240 0.8240 0.4972
0.9249 0.9249 0.0223
```

***

# 5
This entry pairs a crystal structure of KZnBiH with its computed powder XRD pattern. Radiation: CuKα. Structure: a GGA-PBE-relaxed structure.
Lines closer than 0.1° are merged.

Most intense lines, 2θ = 15–90°, low angle first:
2theta	d_spacing	intensity
24.7	3.601	44.0
26.4	3.376	18.5
31.1	2.875	100.0
32.6	2.744	30.5
35.2	2.550	24.9
35.3	2.542	19.1
41.2	2.189	36.5
48.7	1.868	19.6
53.5	1.714	23.4
57.3	1.608	17.6

Crystal structure
```
KZnBiH
1.0
0.0000 2.7442 6.7512
2.5504 0.0000 6.7512
2.5504 2.7442 0.0000
K Zn Bi H
1 1 1 1
direct
0.0000 0.0000 0.0000
0.3101 0.3101 0.6899
0.7116 0.7116 0.2884
0.4326 0.4326 0.5674
```

***

# 6
This entry pairs a crystal structure of K2ZnBiH with its computed powder XRD pattern. Radiation: CuKα. Structure: a GGA-PBE-relaxed structure.
Lines closer than 0.1° are merged.

Most intense lines, 2θ = 15–90°, low angle first:
2theta	d_spacing	intensity
18.7	4.754	94.4
18.9	4.697	99.5
21.5	4.141	67.1
27.0	3.306	63.0
27.1	3.286	60.7
32.8	2.728	100.0
32.9	2.720	91.5
33.2	2.696	97.3
35.6	2.523	58.7
48.9	1.864	55.6

Crystal structure
```
K2ZnBiH
1.0
7.1581 0.0000 0.0000
0.0000 4.6000 0.0000
-3.3819 0.0000 9.5082
K Zn Bi H
4 2 2 2
direct
0.2077 0.2500 0.4072
0.2191 0.2500 0.9588
0.7809 0.7500 0.0412
0.7923 0.7500 0.5928
0.4395 0.7500 0.2284
0.5605 0.2500 0.7716
0.3426 0.7500 0.7114
0.6574 0.2500 0.2886
0.1900 0.7500 0.1537
0.8100 0.2500 0.8463
```